1.
The following is a simulated powder diffraction line list of K2RbTbV2O8. It was derived from a structure optimized by DFT (PBE+U), using Cu Kα.
Neutral-atom scattering factors, no anomalous dispersion.

Cell and atoms:
```
K2RbTbV2O8
1.0
6.046 0.000 0.000
-3.023 5.236 0.000
0.000 0.000 7.813
K Rb Tb V O
2 1 1 2 8
Cartesian
0.000 3.491 1.545 K
3.023 1.745 6.268 K
0.000 0.000 3.906 Rb
0.000 0.000 0.000 Tb
0.000 3.491 5.851 V
3.023 1.745 1.962 V
0.000 1.833 6.463 O
-1.436 4.320 6.463 O
0.000 3.491 4.166 O
1.587 0.917 1.350 O
1.436 4.320 6.463 O
3.023 1.745 3.646 O
4.459 0.917 1.350 O
3.023 3.403 1.350 O
```

Peak list (10 most intense, 2θ = 10–90°, in order of rising 2θ)
- (0 0 1), 11.33 deg, d 7.813, I = 19
- (1 0 0), 16.93 deg, d 5.236, I = 37
- (1 0 1), 20.42 deg, d 4.350, I = 24
- (0 1 2), 28.51 deg, d 3.131, I = 100
- (1 1 0), 29.55 deg, d 3.023, I = 89
- (2 0 2), 41.52 deg, d 2.175, I = 49
- (1 2 2), 51.78 deg, d 1.765, I = 35
- (3 0 0), 52.42 deg, d 1.745, I = 17
- (1 1 4), 56.06 deg, d 1.641, I = 23
- (2 2 0), 61.33 deg, d 1.512, I = 16

=====

2.
The following is a simulated powder diffraction line list of Li2VF6. It was derived from a structure optimized by DFT (PBE+U), using Cu Kα.
Neutral-atom scattering factors, no anomalous dispersion.

Cell and atoms:
```
Li2VF6
1.0
9.786 0.000 0.000
0.000 8.688 0.000
0.000 0.000 5.056
Li V F
8 4 24
Cartesian
1.026 0.410 0.000 Li
1.107 5.510 2.635 Li
3.786 1.166 0.106 Li
3.867 4.754 2.528 Li
5.919 3.934 0.000 Li
6.000 7.521 2.635 Li
8.679 3.178 0.106 Li
8.761 8.278 2.528 Li
1.284 2.280 2.552 V
3.610 6.624 0.023 V
6.177 2.064 2.552 V
8.503 6.407 0.023 V
0.120 3.466 1.739 F
0.163 2.132 4.123 F
0.272 0.823 1.768 F
2.220 3.815 3.154 F
2.353 1.109 3.506 F
2.392 2.197 1.043 F
2.501 6.541 3.571 F
2.541 5.453 0.978 F
2.673 8.159 0.626 F
4.622 5.167 4.297 F
4.730 6.476 1.595 F
4.774 7.810 4.268 F
5.013 0.878 1.739 F
5.056 2.212 4.123 F
5.165 3.521 1.768 F
7.113 0.529 3.154 F
7.246 3.235 3.506 F
7.285 2.147 1.043 F
7.394 6.491 3.571 F
7.434 7.578 0.978 F
7.566 4.873 0.626 F
9.515 7.865 4.297 F
9.623 6.555 1.595 F
9.667 5.222 4.268 F
```

Peak list (10 most intense, 2θ = 10–90°, in order of rising 2θ)
- (0 1 1), 20.32 deg, d 4.370, I = 81
- (0 2 0), 20.45 deg, d 4.344, I = 46
- (2 1 0), 20.84 deg, d 4.263, I = 100
- (2 0 1), 25.33 deg, d 3.516, I = 53
- (2 2 1), 32.77 deg, d 2.733, I = 34
- (2 0 2), 40.15 deg, d 2.246, I = 34
- (2 3 1), 40.35 deg, d 2.235, I = 67
- (4 0 2), 52.01 deg, d 1.758, I = 23
- (4 3 1), 52.18 deg, d 1.753, I = 35
- (0 3 3), 63.90 deg, d 1.457, I = 18